This entry pairs a crystal structure of Tm12Mn5C15 with its theoretical powder diffractogram. Radiation: Cu Kα (λ = 1.5418 Å). Structure: a crystal structure in Alexandria, relaxed with PBE.

Structural model:
Unit cell a=10.346 b=10.346 c=4.956 alpha=90.00 beta=90.00 gamma=120.00
Fractional positions:
Tm (0.000, 0.206, 0.000)
Tm (0.000, 0.567, 0.000)
Tm (0.186, 0.455, 0.500)
Tm (0.206, 0.000, 0.000)
Tm (0.269, 0.814, 0.500)
Tm (0.433, 0.433, 0.000)
Tm (0.455, 0.186, 0.500)
Tm (0.545, 0.731, 0.500)
Tm (0.567, 0.000, 0.000)
Tm (0.731, 0.545, 0.500)
Tm (0.794, 0.794, 0.000)
Tm (0.814, 0.269, 0.500)
Mn (0.000, 0.846, 0.500)
Mn (0.154, 0.154, 0.500)
Mn (0.333, 0.667, 0.000)
Mn (0.667, 0.333, 0.000)
Mn (0.846, 0.000, 0.500)
C (0.000, 0.203, 0.500)
C (0.000, 0.542, 0.500)
C (0.000, 0.673, 0.500)
C (0.193, 0.474, 0.000)
C (0.203, 0.000, 0.500)
C (0.280, 0.807, 0.000)
C (0.327, 0.327, 0.500)
C (0.458, 0.458, 0.500)
C (0.474, 0.193, 0.000)
C (0.526, 0.720, 0.000)
C (0.542, 0.000, 0.500)
C (0.673, 0.000, 0.500)
C (0.720, 0.526, 0.000)
C (0.797, 0.797, 0.500)
C (0.807, 0.280, 0.000)

Principal peaks in the range 2θ = 10–80°, sorted by position:
| 2θ (°) | Rel. int. | hkl |
| --- | --- | --- |
| 26.8 | 12 | 2 0 1 |
| 32.0 | 100 | 2 1 1 |
| 34.7 | 13 | 2 2 0 |
| 36.1 | 27 | 3 1 0 |
| 36.3 | 30 | 0 0 2 |
| 51.0 | 14 | 5 0 0 |
| 52.1 | 18 | 3 1 2 |
| 62.6 | 15 | 2 1 3 |